1.
Diffraction record for TmSiNiGe2. The X-ray diffraction stick pattern is calculated, not measured: it uses a structure optimized by DFT (PBE) and Cu Kα (weighted mean of Kα1 and Kα2).
Neutral-atom scattering factors, no anomalous dispersion.

Cell and atoms:
abc: 4.024 21.323 4.026
angles: 90.00 90.00 90.00
Space group Cmmm (No. 65)
Asymmetric unit:
Tm: 0.000 0.172 0.000 (multiplicity 4)
Si: 0.000 0.280 0.500 (multiplicity 4)
Ni: 0.000 0.384 0.500 (multiplicity 4)
Ge: 0.000 0.059 0.500 (multiplicity 4)
Ge: 0.000 0.442 0.000 (multiplicity 4)

Principal peaks in the range 10° ≤ 2θ ≤ 80°, in order of rising 2θ:
- 33.63 deg, rel. 378, (0 8 0)
- 33.93 deg, rel. 1000, (1 3 1)
- 44.37 deg, rel. 180, (1 9 0)
- 45.05 deg, rel. 462, (2 0 0)
- 57.38 deg, rel. 223, (2 8 0)
- 75.95 deg, rel. 189, (3 3 1)



2.
Diffraction record for Nd4Au2O9. The X-ray diffraction stick pattern is calculated, not measured: it uses a structure optimized by DFT (PBE) and Cu Kα (weighted mean of Kα1 and Kα2).
Neutral-atom scattering factors, no anomalous dispersion.

Cell and atoms:
abc: 11.963 6.122 11.977
angles: 90.00 90.00 90.00
Space group Pbcn (No. 60)
Asymmetric unit:
Nd: 0.012 0.243 0.090 (multiplicity 8)
Nd: 0.159 0.200 0.764 (multiplicity 8)
Au: 0.228 0.419 0.511 (multiplicity 8)
O: 0.000 0.023 0.250 (multiplicity 4)
O: 0.076 0.385 0.590 (multiplicity 8)
O: 0.116 0.060 0.946 (multiplicity 8)
O: 0.163 0.437 0.351 (multiplicity 8)
O: 0.197 0.125 0.159 (multiplicity 8)

Principal peaks in the range 10° ≤ 2θ ≤ 80°, in order of rising 2θ:
- 14.80 deg, rel. 315, (0 0 2)
- 27.71 deg, rel. 1000, (3 1 1)
- 31.07 deg, rel. 385, (1 2 1)
- 32.87 deg, rel. 241, (2 2 0)
- 33.48 deg, rel. 713, (2 0 4)
- 36.22 deg, rel. 278, (2 2 2)



3.
Diffraction record for Li2PrCoP2. The X-ray diffraction stick pattern is calculated, not measured: it uses a structure optimized by DFT (PBE) and Cu Kα (weighted mean of Kα1 and Kα2).
Neutral-atom scattering factors, no anomalous dispersion.

Cell and atoms:
abc: 4.0794 4.0794 6.5009
angles: 90.00 90.00 120.00
Space group P-3m1 (No. 164)
Asymmetric unit:
Li: 0.3333 0.6667 0.3553 (multiplicity 2)
Pr: 0.0000 0.0000 0.0000 (multiplicity 1)
Co: 0.0000 0.0000 0.5000 (multiplicity 1)
P: 0.3333 0.6667 0.7199 (multiplicity 2)

Principal peaks in the range 10° ≤ 2θ ≤ 80°, in order of rising 2θ:
- 25.21 deg, rel. 733, (1 0 0)
- 28.76 deg, rel. 372, (1 0 1)
- 37.60 deg, rel. 1000, (0 1 2)
- 44.41 deg, rel. 425, (1 1 0)
- 59.57 deg, rel. 251, (2 0 2)
- 77.24 deg, rel. 231, (1 2 2)